Diffraction record for HgWO4. The X-ray powder pattern is theoretical, not measured: it uses DFT lattice parameters and positions (GGA+U) and CuKα.

Cell and atoms:
abc: 6.585 6.585 5.272
angles: 110.90 110.90 56.20
Fractional coordinates of all 12 atoms:
Hg 0.000 0.500 0.000
Hg 0.500 0.000 0.500
W 0.181 0.819 0.750
W 0.819 0.181 0.250
O 0.003 0.188 0.027
O 0.188 0.003 0.527
O 0.243 0.523 0.524
O 0.477 0.757 0.976
O 0.523 0.243 0.024
O 0.757 0.477 0.476
O 0.812 0.997 0.473
O 0.997 0.812 0.973

Largest 8 diffraction maxima, sorted by position, 10° ≤ 2θ ≤ 80°:
2θ = 27.29°, intensity 100; 2θ = 28.42°, intensity 91; 2θ = 28.78°, intensity 32; 2θ = 33.74°, intensity 23; 2θ = 34.06°, intensity 29; 2θ = 44.93°, intensity 21; 2θ = 45.18°, intensity 22; 2θ = 56.31°, intensity 23